For AcAlOs, a GGA-PBE-relaxed structure gives the computed powder X-ray diffraction pattern in this record (Cu Kα (λ = 1.5418 Å)).
Lines closer than 0.1° are merged.

Structure:
a b c (Å): 4.5681 4.5682 7.3245
angles (deg): 90.00 90.09 90.00
Sites, in units of the cell vectors:
Ac1 0.2494 0.2500 0.2036
Ac2 0.7506 0.7500 0.7964
Al1 0.2504 0.2500 0.6559
Al2 0.7496 0.7500 0.3441
Os1 0.2500 0.7500 0.5000
Os2 0.7500 0.2500 0.5000

The 8 most intense peaks (2θ from 10° to 90°), by angle:
2θ 12.08, rel. 49, hkl 0 0 1; 2θ 22.94, rel. 82, hkl 1 0 -1; 2θ 30.24, rel. 65, hkl 1 1 1; 2θ 37.11, rel. 100, hkl 1 1 -2; 2θ 39.45, rel. 55, hkl 2 0 0; 2θ 46.13, rel. 27, hkl 2 1 -1; 2θ 55.06, rel. 25, hkl 2 0 3; 2θ 70.01, rel. 32, hkl 3 1 -2